Starting from a structure optimized by DFT (PBE), the X-ray powder pattern of La3In2Si2Pt4 was computed for Cu Ka.

Main lines, sorted by position (10° ≤ 2θ ≤ 90°):
2theta, I_rel, h k l
26.1, 69, 0 1 2
33.5, 100, 0 1 4
40.7, 90, 1 1 0
43.4, 42, 1 0 6
53.8, 26, 2 0 4
69.6, 24, 1 2 4

Structure:
```
data_La3In2Si2Pt4
_space_group_name_H-M_alt 'P -3 m 1'
_space_group_IT_number 164
_space_group_name_Hall '-P 3 2"'
_cell_length_a 4.4292
_cell_length_b 4.4292
_cell_length_c 14.8985
_cell_angle_alpha 90.00
_cell_angle_beta 90.00
_cell_angle_gamma 120.00
loop_
_atom_site_label
_atom_site_fract_x
_atom_site_fract_y
_atom_site_fract_z
La1 0.0000 0.0000 0.0000
La2 0.0000 0.0000 0.2644
In1 0.3333 0.6667 0.5611
Si1 0.3333 0.6667 0.1424
Pt1 0.3333 0.6667 0.3713
Pt2 0.3333 0.6667 0.8689
```



Starting from a structure optimized by DFT (PBE), the X-ray powder pattern of Tb3Pr2Ge4 was computed for Cu Ka.

Main lines, sorted by position (10° ≤ 2θ ≤ 90°):
2theta, I_rel, h k l
30.2, 25, 2 1 -2
32.1, 62, 2 2 -1
32.6, 27, 1 2 -2
32.8, 100, 1 1 2
36.0, 54, 3 0 0
36.9, 46, 1 1 -3

Structure:
```
data_Tb3Pr2Ge4
_space_group_name_H-M_alt 'P 1 21/c 1'
_space_group_IT_number 14
_space_group_name_Hall '-P 2ybc'
_cell_length_a 7.9384
_cell_length_b 7.9756
_cell_length_c 7.6796
_cell_angle_alpha 90.00
_cell_angle_beta 109.25
_cell_angle_gamma 90.00
loop_
_atom_site_label
_atom_site_fract_x
_atom_site_fract_y
_atom_site_fract_z
Tb1 0.0000 0.0000 0.0000
Tb2 0.2544 0.1704 0.7519
Pr1 0.3046 0.6789 0.9268
Ge1 0.0093 0.6307 0.1333
Ge2 0.4170 0.0380 0.1460
```



Starting from a structure optimized by DFT (PBE), the X-ray powder pattern of Tb8Nd4Dy3 was computed for Cu Ka.

Main lines, sorted by position (10° ≤ 2θ ≤ 90°):
2theta, I_rel, h k l
30.1, 55, 0 0 12
31.2, 100, 0 2 4
35.9, 73, 2 0 8
50.9, 27, 0 2 16
52.4, 36, 2 2 0
61.6, 45, 2 2 12

Structure:
```
data_Tb8Nd4Dy3
_space_group_name_H-M_alt 'R -3 m'
_space_group_IT_number 166
_space_group_name_Hall '-R 3 2"'
_cell_length_a 6.9849
_cell_length_b 6.9849
_cell_length_c 35.6525
_cell_angle_alpha 90.00
_cell_angle_beta 90.00
_cell_angle_gamma 120.00
loop_
_atom_site_label
_atom_site_fract_x
_atom_site_fract_y
_atom_site_fract_z
Tb1 0.0000 0.0000 0.2450
Tb2 0.0017 0.5009 0.7513
Nd1 0.0000 0.0000 0.0000
Nd2 0.0000 0.0000 0.3365
Nd3 0.0000 0.0000 0.5000
Dy1 0.0000 0.5000 0.5000
```